Record 1
# Pm3Te2Se
Theoretical powder diffractogram, Cu Ka. Input: a GGA-PBE-relaxed structure.

Top 8 peaks for 2θ from 10° to 80°, sorted by position:
2θ/deg  I_rel
28.73  100
28.96  52
41.25  75
41.58  20
50.62  17
51.46  21
67.86  17
75.64  19

Cell and atoms:
```
Pm3Te2Se
1.0
-2.172 3.083 6.670
2.172 -3.083 6.670
2.172 3.083 -6.670
Pm Te Se
3 2 1
Direct
0.000 0.000 0.000
0.354 0.354 0.000
0.646 0.646 0.000
0.174 0.674 0.500
0.826 0.326 0.500
0.500 0.000 0.500
```

---

Record 2
# K6AgHg3
Theoretical powder diffractogram, Cu Ka. Input: a GGA-PBE-relaxed structure.

Top 8 peaks for 2θ from 10° to 80°, sorted by position:
2θ/deg  I_rel
15.13  86
16.95  36
17.18  100
26.28  30
28.80  42
29.77  58
31.97  24
34.85  26

Cell and atoms:
```
K6AgHg3
1.0
10.339 0.000 0.000
0.000 7.109 0.000
-9.961 0.000 11.198
K Ag Hg
12 2 6
Direct
0.094 0.227 0.258
0.094 0.273 0.758
0.246 0.068 0.578
0.246 0.432 0.078
0.402 0.580 0.570
0.402 0.920 0.070
0.598 0.080 0.930
0.598 0.420 0.430
0.754 0.568 0.922
0.754 0.932 0.422
0.906 0.727 0.242
0.906 0.773 0.742
0.500 0.000 0.500
0.500 0.500 0.000
0.000 0.000 0.000
0.000 0.500 0.500
0.292 0.685 0.764
0.292 0.815 0.264
0.708 0.185 0.736
0.708 0.315 0.236
```

---

Record 3
# Pr6Sb3PbSe2
Theoretical powder diffractogram, Cu Ka. Input: a GGA-PBE-relaxed structure.

Top 8 peaks for 2θ from 10° to 80°, sorted by position:
2θ/deg  I_rel
28.17  100
40.23  51
40.33  25
49.90  21
58.22  9
65.86  12
65.94  18
73.20  13

Cell and atoms:
```
Pr6Sb3PbSe2
1.0
9.746 -2.241 0.000
9.746 2.241 0.000
-2.031 0.000 8.734
Pr Sb Pb Se
6 3 1 2
Direct
0.004 0.004 0.254
0.332 0.332 0.420
0.332 0.332 0.911
0.668 0.668 0.089
0.668 0.668 0.580
0.996 0.996 0.746
0.166 0.166 0.831
0.500 0.500 0.500
0.834 0.834 0.169
0.500 0.500 0.000
0.169 0.169 0.337
0.831 0.831 0.663
```

---

Record 4
# Na4Pm3NdS8
Theoretical powder diffractogram, Cu Ka. Input: a GGA-PBE-relaxed structure.

Top 8 peaks for 2θ from 10° to 80°, sorted by position:
2θ/deg  I_rel
13.23  73
25.42  41
26.59  36
30.80  100
33.66  17
44.12  71
46.22  19
54.73  18

Cell and atoms:
```
Na4Pm3NdS8
1.0
4.109 2.373 6.690
-4.109 2.373 6.690
0.000 -4.745 6.690
Na Pm Nd S
4 3 1 8
Direct
0.000 0.000 0.000
0.000 0.500 0.500
0.500 0.000 0.500
0.500 0.500 0.000
0.000 0.000 0.500
0.000 0.500 0.000
0.500 0.000 0.000
0.500 0.500 0.500
0.243 0.745 0.745
0.244 0.244 0.244
0.255 0.255 0.757
0.255 0.757 0.255
0.745 0.243 0.745
0.745 0.745 0.243
0.756 0.756 0.756
0.757 0.255 0.255
```